1.
For YMg4Tl2, the GGA-PBE geometry in Alexandria gives the theoretical powder XRD pattern in this record (Cu Kα).
Peak positions follow from Bragg's law for the DFT cell and can differ from measured ones.

The 12 most intense peaks (2θ from 5° to 70°), in order of falling intensity:
- 28.81 deg, intensity 1000
- 9.98 deg, intensity 892
- 32.25 deg, intensity 612
- 20.53 deg, intensity 462
- 36.54 deg, intensity 396
- 19.99 deg, intensity 380
- 38.24 deg, intensity 325
- 40.99 deg, intensity 260
- 55.62 deg, intensity 239
- 28.46 deg, intensity 235
- 45.97 deg, intensity 227
- 40.44 deg, intensity 223

Structural model:
```
14
Lattice="4.4615 0.0000 0.0000 0.0000 17.7199 0.0000 0.0000 0.0000 4.4418" Properties=species:S:1:pos:R:3 pbc="T T T"
Y 0.0000 0.0000 0.0000
Y 2.2307 8.8600 0.0000
Mg 0.0000 3.2840 2.2209
Mg 0.0000 5.5462 0.0000
Mg 0.0000 12.1737 0.0000
Mg 0.0000 14.4359 2.2209
Mg 2.2307 3.3137 0.0000
Mg 2.2307 5.5760 2.2209
Mg 2.2307 12.1440 2.2209
Mg 2.2307 14.4062 0.0000
Tl 0.0000 7.4309 2.2209
Tl 0.0000 10.2890 2.2209
Tl 2.2307 1.4291 2.2209
Tl 2.2307 16.2909 2.2209
```

2.
For Y3Mg2Tl, the GGA-PBE geometry in Alexandria gives the theoretical powder XRD pattern in this record (Cu Kα).
Peak positions follow from Bragg's law for the DFT cell and can differ from measured ones.

The 12 most intense peaks (2θ from 5° to 70°), in order of falling intensity:
- 33.49 deg, intensity 1000
- 7.87 deg, intensity 685
- 33.14 deg, intensity 515
- 59.42 deg, intensity 377
- 24.60 deg, intensity 239
- 47.57 deg, intensity 185
- 60.09 deg, intensity 182
- 28.23 deg, intensity 180
- 15.77 deg, intensity 162
- 34.11 deg, intensity 101
- 48.60 deg, intensity 86
- 36.90 deg, intensity 84

Structural model:
```
6
Lattice="3.8232 0.0000 0.0000 0.0000 3.8232 0.0000 0.0000 0.0000 11.2402" Properties=species:S:1:pos:R:3 pbc="T T T"
Y 0.0000 0.0000 0.0000
Y 0.0000 0.0000 3.7274
Y 0.0000 0.0000 7.5128
Mg 1.9116 1.9116 1.8310
Mg 1.9116 1.9116 9.4092
Tl 1.9116 1.9116 5.6201
```

3.
For Y3Mg5Tl2, the GGA-PBE geometry in Alexandria gives the theoretical powder XRD pattern in this record (Cu Kα).
Peak positions follow from Bragg's law for the DFT cell and can differ from measured ones.

The 12 most intense peaks (2θ from 5° to 70°), in order of falling intensity:
- 9.56 deg, intensity 1000
- 31.44 deg, intensity 812
- 38.60 deg, intensity 703
- 20.50 deg, intensity 502
- 40.81 deg, intensity 489
- 28.55 deg, intensity 434
- 28.06 deg, intensity 398
- 28.95 deg, intensity 366
- 21.11 deg, intensity 282
- 35.54 deg, intensity 228
- 57.48 deg, intensity 221
- 38.97 deg, intensity 219

Structural model:
```
20
Lattice="-6.2650 6.8627 3.1219 6.2650 -6.8627 3.1219 6.2650 6.8627 -3.1219" Properties=species:S:1:pos:R:3 pbc="T T T"
Y 1.6305 3.2227 0.0000
Y 0.0000 0.0000 1.5610
Y 7.8955 3.6401 0.0000
Y -1.6305 3.2227 3.1219
Y 0.0000 0.0000 4.6829
Y 4.6345 3.6401 3.1219
Mg 4.8678 2.0551 0.0000
Mg 3.2216 0.0000 1.5610
Mg 6.2650 0.0000 1.5610
Mg 9.3085 0.0000 1.5610
Mg 4.8678 -2.0551 3.1219
Mg 1.3972 8.9178 0.0000
Mg -3.0435 6.8627 1.5610
Mg 0.0000 6.8627 1.5610
Mg 3.0435 6.8627 1.5610
Mg 1.3972 4.8076 3.1219
Tl 4.5218 -4.7742 3.1219
Tl 4.5218 4.7742 0.0000
Tl 1.7432 2.0885 3.1219
Tl 1.7432 11.6370 0.0000
```

4.
For YMgTl6, the GGA-PBE geometry in Alexandria gives the theoretical powder XRD pattern in this record (Cu Kα).
Peak positions follow from Bragg's law for the DFT cell and can differ from measured ones.

The 12 most intense peaks (2θ from 5° to 70°), in order of falling intensity:
- 32.34 deg, intensity 1000
- 35.81 deg, intensity 192
- 37.74 deg, intensity 168
- 62.17 deg, intensity 150
- 38.93 deg, intensity 148
- 64.76 deg, intensity 139
- 53.00 deg, intensity 126
- 53.92 deg, intensity 121
- 66.37 deg, intensity 118
- 67.69 deg, intensity 116
- 55.34 deg, intensity 108
- 17.68 deg, intensity 48

Structural model:
```
16
Lattice="9.2541 0.0000 0.0000 0.0000 10.0308 0.0000 0.0000 0.0000 4.7670" Properties=species:S:1:pos:R:3 pbc="T T T"
Y 0.0000 0.0000 0.0000
Y 4.6271 5.0154 0.0000
Mg 0.0000 5.0154 0.0000
Mg 4.6271 0.0000 0.0000
Tl 0.0000 2.3981 2.3835
Tl 0.0000 7.6326 2.3835
Tl 2.1713 5.0154 2.3835
Tl 2.3135 2.5077 0.0000
Tl 2.3135 7.5231 0.0000
Tl 2.4558 0.0000 2.3835
Tl 4.6271 2.6173 2.3835
Tl 4.6271 7.4135 2.3835
Tl 6.7983 0.0000 2.3835
Tl 6.9406 2.5077 0.0000
Tl 6.9406 7.5231 0.0000
Tl 7.0828 5.0154 2.3835
```

5.
For Y8Mg2Tl, the GGA-PBE geometry in Alexandria gives the theoretical powder XRD pattern in this record (Cu Kα).
Peak positions follow from Bragg's law for the DFT cell and can differ from measured ones.

The 12 most intense peaks (2θ from 5° to 70°), in order of falling intensity:
- 32.56 deg, intensity 1000
- 32.20 deg, intensity 974
- 33.32 deg, intensity 542
- 31.88 deg, intensity 459
- 46.79 deg, intensity 310
- 11.96 deg, intensity 214
- 12.55 deg, intensity 188
- 59.07 deg, intensity 175
- 46.12 deg, intensity 174
- 58.08 deg, intensity 173
- 58.84 deg, intensity 168
- 57.47 deg, intensity 160

Structural model:
```
11
Lattice="8.2117 -2.6889 0.0000 8.2117 2.6889 0.0000 -4.4158 0.0000 7.4010" Properties=species:S:1:pos:R:3 pbc="T T T"
Y 0.1167 0.0000 1.6230
Y -0.7594 0.0000 5.0583
Y 2.7837 0.0000 4.0934
Y 6.4764 0.0000 0.3315
Y 5.5311 0.0000 7.0696
Y 9.2238 0.0000 3.3076
Y 12.7670 0.0000 2.3427
Y 11.8908 0.0000 5.7780
Mg 3.2190 0.0000 0.8484
Mg 8.7885 0.0000 6.5526
Tl 6.0038 0.0000 3.7005
```

6.
For YMg4Tl5, the GGA-PBE geometry in Alexandria gives the theoretical powder XRD pattern in this record (Cu Kα).
Peak positions follow from Bragg's law for the DFT cell and can differ from measured ones.

The 12 most intense peaks (2θ from 5° to 70°), in order of falling intensity:
- 34.36 deg, intensity 1000
- 24.11 deg, intensity 553
- 61.54 deg, intensity 362
- 55.68 deg, intensity 227
- 49.38 deg, intensity 178
- 42.41 deg, intensity 168
- 31.03 deg, intensity 14
- 28.19 deg, intensity 11
- 60.63 deg, intensity 10
- 26.00 deg, intensity 9
- 45.58 deg, intensity 8
- 24.59 deg, intensity 8

Structural model:
```
10
Lattice="3.6916 0.0000 0.0000 0.0000 3.6916 0.0000 0.0000 0.0000 18.4551" Properties=species:S:1:pos:R:3 pbc="T T T"
Y 0.0000 0.0000 0.0000
Mg 0.0000 0.0000 3.7920
Mg 0.0000 0.0000 7.3928
Mg 0.0000 0.0000 11.0622
Mg 0.0000 0.0000 14.6631
Tl 1.8458 1.8458 2.0096
Tl 1.8458 1.8458 5.5969
Tl 1.8458 1.8458 9.2275
Tl 1.8458 1.8458 12.8581
Tl 1.8458 1.8458 16.4454
```

7.
For Mg8Tl3Zn2, the GGA-PBE geometry in Alexandria gives the theoretical powder XRD pattern in this record (Cu Kα).
Peak positions follow from Bragg's law for the DFT cell and can differ from measured ones.

The 12 most intense peaks (2θ from 5° to 70°), in order of falling intensity:
- 21.42 deg, intensity 1000
- 22.36 deg, intensity 996
- 17.89 deg, intensity 774
- 29.91 deg, intensity 709
- 23.08 deg, intensity 621
- 27.13 deg, intensity 578
- 30.67 deg, intensity 561
- 40.55 deg, intensity 545
- 37.87 deg, intensity 519
- 34.67 deg, intensity 410
- 26.96 deg, intensity 407
- 27.92 deg, intensity 399

Structural model:
```
13
Lattice="5.9810 0.0000 0.0000 2.8782 6.0720 0.0000 2.6408 -0.6205 8.2968" Properties=species:S:1:pos:R:3 pbc="T T T"
Mg 2.8048 1.5351 3.1961
Mg 5.6355 4.1534 7.1848
Mg 4.1552 4.3397 1.9702
Mg 4.3244 0.7183 5.9954
Mg 7.1757 4.7332 2.3014
Mg 7.3448 1.1118 6.3267
Mg 5.8645 1.2981 1.1120
Mg 8.6952 3.9164 5.1008
Tl 2.8455 1.8448 0.3431
Tl 5.7500 2.7258 4.1484
Tl 8.6545 3.6067 7.9537
Zn 5.3420 5.3327 4.6037
Zn 6.1580 0.1188 3.6932
```

8.
For Mg14TlZn, the GGA-PBE geometry in Alexandria gives the theoretical powder XRD pattern in this record (Cu Kα).
Peak positions follow from Bragg's law for the DFT cell and can differ from measured ones.

The 12 most intense peaks (2θ from 5° to 70°), in order of falling intensity:
- 34.73 deg, intensity 1000
- 10.38 deg, intensity 521
- 21.98 deg, intensity 376
- 39.23 deg, intensity 356
- 68.21 deg, intensity 272
- 19.32 deg, intensity 254
- 17.17 deg, intensity 221
- 59.16 deg, intensity 206
- 28.58 deg, intensity 199
- 29.43 deg, intensity 172
- 13.63 deg, intensity 159
- 42.44 deg, intensity 141

Structural model:
```
16
Lattice="4.5908 -4.5957 0.0000 4.5908 4.5957 0.0000 0.0000 0.0000 8.5202" Properties=species:S:1:pos:R:3 pbc="T T T"
Mg 0.0000 0.0000 0.0000
Mg 2.2954 2.2978 0.0000
Mg 2.2954 2.2978 4.2601
Mg 2.2359 0.0000 2.1796
Mg 2.2359 0.0000 6.3406
Mg 4.5908 2.3568 2.1796
Mg 4.5908 2.3568 6.3406
Mg 2.2954 -2.2978 0.0000
Mg 2.2954 -2.2978 4.2601
Mg 4.5908 0.0000 0.0000
Mg 4.5908 -2.3568 2.1796
Mg 4.5908 -2.3568 6.3406
Mg 6.9456 0.0000 2.1796
Mg 6.9456 0.0000 6.3406
Tl 4.5908 0.0000 4.2601
Zn 0.0000 0.0000 4.2601
```

9.
For MgZrTl, the GGA-PBE geometry in Alexandria gives the theoretical powder XRD pattern in this record (Cu Kα).
Peak positions follow from Bragg's law for the DFT cell and can differ from measured ones.

The 12 most intense peaks (2θ from 5° to 70°), in order of falling intensity:
- 34.55 deg, intensity 1000
- 14.01 deg, intensity 447
- 27.98 deg, intensity 398
- 38.64 deg, intensity 369
- 67.30 deg, intensity 287
- 59.10 deg, intensity 211
- 42.91 deg, intensity 136
- 41.29 deg, intensity 133
- 55.79 deg, intensity 127
- 28.23 deg, intensity 106
- 48.53 deg, intensity 100
- 45.19 deg, intensity 96

Structural model:
```
6
Lattice="3.2955 0.0000 0.0000 0.0000 3.2955 0.0000 0.0000 0.0000 12.6455" Properties=species:S:1:pos:R:3 pbc="T T T"
Mg 0.0000 0.0000 0.0000
Mg 1.6477 1.6477 6.3228
Zr 0.0000 0.0000 4.2115
Zr 1.6477 1.6477 10.5342
Tl 0.0000 0.0000 8.3716
Tl 1.6477 1.6477 2.0489
```

10.
For Tm5Mg2, the GGA-PBE geometry in Alexandria gives the theoretical powder XRD pattern in this record (Cu Kα).
Peak positions follow from Bragg's law for the DFT cell and can differ from measured ones.

The 12 most intense peaks (2θ from 5° to 70°), in order of falling intensity:
- 32.11 deg, intensity 1000
- 5.32 deg, intensity 775
- 36.89 deg, intensity 362
- 63.47 deg, intensity 285
- 29.20 deg, intensity 223
- 53.95 deg, intensity 201
- 37.94 deg, intensity 137
- 53.16 deg, intensity 128
- 10.66 deg, intensity 125
- 67.16 deg, intensity 103
- 49.87 deg, intensity 102
- 59.29 deg, intensity 96

Structural model:
```
14
Lattice="3.4457 0.0000 0.0000 0.0000 3.4457 0.0000 0.0000 0.0000 33.2038" Properties=species:S:1:pos:R:3 pbc="T T T"
Tm 0.0000 0.0000 0.0000
Tm 0.0000 0.0000 4.9723
Tm 0.0000 0.0000 14.0995
Tm 0.0000 0.0000 19.1043
Tm 0.0000 0.0000 28.2315
Tm 1.7228 1.7228 2.5024
Tm 1.7228 1.7228 11.6296
Tm 1.7228 1.7228 16.6019
Tm 1.7228 1.7228 21.5742
Tm 1.7228 1.7228 30.7014
Mg 0.0000 0.0000 9.2930
Mg 0.0000 0.0000 23.9107
Mg 1.7228 1.7228 7.3088
Mg 1.7228 1.7228 25.8949
```

11.
For Tm4Mg5, the GGA-PBE geometry in Alexandria gives the theoretical powder XRD pattern in this record (Cu Kα).
Peak positions follow from Bragg's law for the DFT cell and can differ from measured ones.

The 12 most intense peaks (2θ from 5° to 70°), in order of falling intensity:
- 23.69 deg, intensity 1000
- 33.55 deg, intensity 980
- 33.94 deg, intensity 774
- 11.04 deg, intensity 351
- 60.24 deg, intensity 293
- 48.47 deg, intensity 283
- 68.04 deg, intensity 251
- 41.48 deg, intensity 233
- 54.37 deg, intensity 212
- 44.07 deg, intensity 187
- 59.99 deg, intensity 183
- 46.68 deg, intensity 168

Structural model:
```
18
Lattice="9.2526 0.0000 0.0000 -4.6263 8.0130 0.0000 0.0000 0.0000 6.4339" Properties=species:S:1:pos:R:3 pbc="T T T"
Tm 0.0000 0.0000 0.0000
Tm 0.0000 0.0000 3.2169
Tm -1.5700 2.7193 1.6085
Tm -3.0563 5.2937 4.8254
Tm 3.1400 0.0000 1.6085
Tm 1.5700 2.7193 4.8254
Tm 6.1126 0.0000 4.8254
Tm 3.0563 5.2937 1.6085
Mg -1.5240 2.6396 4.8254
Mg -3.1024 5.3734 1.6085
Mg 3.0479 0.0000 4.8254
Mg 1.5240 2.6396 1.6085
Mg 0.0000 5.3420 0.0000
Mg 0.0000 5.3420 3.2169
Mg 4.6263 2.6710 0.0000
Mg 4.6263 2.6710 3.2169
Mg 6.2047 0.0000 1.6085
Mg 3.1024 5.3734 4.8254
```

12.
For Tm3Mg4, the GGA-PBE geometry in Alexandria gives the theoretical powder XRD pattern in this record (Cu Kα).
Peak positions follow from Bragg's law for the DFT cell and can differ from measured ones.

The 12 most intense peaks (2θ from 5° to 70°), in order of falling intensity:
- 33.94 deg, intensity 1000
- 23.82 deg, intensity 616
- 60.77 deg, intensity 276
- 54.97 deg, intensity 258
- 48.76 deg, intensity 179
- 41.92 deg, intensity 140
- 60.65 deg, intensity 94
- 12.68 deg, intensity 68
- 41.82 deg, intensity 46
- 15.51 deg, intensity 42
- 20.09 deg, intensity 21
- 25.52 deg, intensity 18

Structural model:
```
14
Lattice="6.9814 4.0307 2.1601 -6.9814 4.0307 2.1601 0.0000 -8.0614 2.1601" Properties=species:S:1:pos:R:3 pbc="T T T"
Tm -3.9719 -3.4780 3.2440
Tm -4.9980 1.7008 3.2363
Tm 1.0260 -5.1788 3.2363
Tm -1.0261 5.1788 3.2440
Tm 4.9980 -1.7008 3.2440
Tm 3.9719 3.4780 3.2363
Mg 0.0000 0.0000 0.0000
Mg -0.9755 -2.7992 2.1954
Mg -1.9365 2.2444 2.1954
Mg -2.9119 -0.5548 4.2849
Mg 0.0000 0.0000 3.2401
Mg 2.9119 0.5548 2.1954
Mg 1.9365 -2.2444 4.2849
Mg 0.9755 2.7992 4.2849
```